Diffraction record for LaMgNiO3. The PXRD pattern is simulated, not measured: it uses a DFT-relaxed cell (PBE+U, the Materials Project) and Cu Kα, 1.54184 Å.

The 10 most intense peaks (5° ≤ 2θ ≤ 70°), low angle first:
2theta, I_rel, index
23.47, 17, 1 0 0
24.88, 94, 0 0 2
26.61, 100, 1 0 1
33.44, 49, 1 1 0
35.78, 17, 1 1 1
42.13, 52, 1 1 2
44.90, 25, 1 0 3
48.01, 29, 2 0 0
54.82, 38, 2 0 2
55.74, 26, 2 1 1

Crystal structure
```
data_LaMgNiO3
_chemical_formula_sum 'La1 Mg1 Ni1 O3'
_cell_length_a 3.790
_cell_length_b 3.790
_cell_length_c 7.157
_cell_angle_alpha 90.00
_cell_angle_beta 90.00
_cell_angle_gamma 90.00
_space_group_name_H-M_alt 'P 4/m m m'
_space_group_IT_number 123
_space_group_name_Hall '-P 4 2'
loop_
_atom_site_label
_atom_site_fract_x
_atom_site_fract_y
_atom_site_fract_z
La1 0.000 0.000 0.000
Mg1 0.000 0.000 0.500
Ni1 0.500 0.500 0.500
O1 0.000 0.500 0.500
O2 0.500 0.500 0.000
```